Record 1
Diffraction record for Li2TlCd2Bi2. The powder X-ray diffraction pattern is computed, not measured: it uses a DFT-relaxed cell (PBE, Alexandria) and copper Kα.
Intensities are scaled so that the largest is 100.

Largest 10 diffraction maxima, by angle, 10 to 90 degrees two-theta:
19.68 deg, d = 4.512 Å, I = 12; 24.69 deg, d = 3.606 Å, I = 100; 31.24 deg, d = 2.863 Å, I = 31; 33.83 deg, d = 2.650 Å, I = 17; 36.53 deg, d = 2.460 Å, I = 64; 39.44 deg, d = 2.285 Å, I = 13; 42.42 deg, d = 2.131 Å, I = 17; 44.59 deg, d = 2.032 Å, I = 21; 58.96 deg, d = 1.567 Å, I = 19; 65.75 deg, d = 1.420 Å, I = 12

Crystal structure
a = 9.4597 Å, b = 9.4597 Å, c = 9.4597 Å
α = 30.14°, β = 30.14°, γ = 30.14°
Fractional coordinates of all 7 atoms:
Li 0.1415 0.1415 0.1415
Li 0.8585 0.8585 0.8585
Tl 0.0000 0.0000 0.0000
Cd 0.4461 0.4461 0.4461
Cd 0.5539 0.5539 0.5539
Bi 0.2558 0.2558 0.2558
Bi 0.7442 0.7442 0.7442

---

Record 2
Diffraction record for Mg3CdBi. The powder X-ray diffraction pattern is computed, not measured: it uses a DFT-relaxed cell (PBE, Alexandria) and copper Kα.
Intensities are scaled so that the largest is 100.

Largest 10 diffraction maxima, by angle, 10 to 90 degrees two-theta:
20.92 deg, d = 4.247 Å, I = 29; 25.42 deg, d = 3.503 Å, I = 100; 28.81 deg, d = 3.099 Å, I = 16; 35.87 deg, d = 2.503 Å, I = 38; 36.65 deg, d = 2.452 Å, I = 47; 45.13 deg, d = 2.009 Å, I = 22; 47.27 deg, d = 1.923 Å, I = 25; 49.03 deg, d = 1.858 Å, I = 17; 59.49 deg, d = 1.554 Å, I = 19; 65.48 deg, d = 1.425 Å, I = 13

Crystal structure
a = 4.9040 Å, b = 4.9040 Å, c = 6.1981 Å
α = 90.00°, β = 90.00°, γ = 120.00°
Fractional coordinates of all 5 atoms:
Mg 0.0000 0.0000 0.0000
Mg 0.3333 0.6667 0.2492
Mg 0.3333 0.6667 0.7508
Cd 0.6667 0.3333 0.0000
Bi 0.0000 0.0000 0.5000

---

Record 3
Diffraction record for Mg3CdBi. The powder X-ray diffraction pattern is computed, not measured: it uses a DFT-relaxed cell (PBE, Alexandria) and copper Kα.
Intensities are scaled so that the largest is 100.

Largest 10 diffraction maxima, by angle, 10 to 90 degrees two-theta:
20.10 deg, d = 4.418 Å, I = 56; 21.42 deg, d = 4.147 Å, I = 67; 22.61 deg, d = 3.932 Å, I = 51; 22.75 deg, d = 3.908 Å, I = 56; 25.52 deg, d = 3.490 Å, I = 72; 26.66 deg, d = 3.343 Å, I = 73; 35.61 deg, d = 2.521 Å, I = 100; 35.79 deg, d = 2.509 Å, I = 60; 36.13 deg, d = 2.486 Å, I = 60; 38.99 deg, d = 2.310 Å, I = 54

Crystal structure
a = 4.6203 Å, b = 7.4083 Å, c = 8.6788 Å
α = 114.47°, β = 104.87°, γ = 90.39°
Fractional coordinates of all 10 atoms:
Mg 0.0723 0.3921 0.1460
Mg 0.2488 0.8333 0.4999
Mg 0.4201 0.2935 0.8450
Mg 0.5799 0.7065 0.1550
Mg 0.7512 0.1667 0.5001
Mg 0.9277 0.6079 0.8540
Cd 0.2945 0.4659 0.5894
Cd 0.7055 0.5341 0.4106
Bi 0.1186 0.0024 0.2245
Bi 0.8814 0.9976 0.7755